Starting from a PBE-relaxed structure, the X-ray diffraction stick pattern of PrScCu2Sn2 was simulated for Cu Kα (weighted mean of Kα1 and Kα2).
Neutral-atom scattering factors, no anomalous dispersion.

Atomic structure:
Cell: 4.5081 4.5081 7.3054 Å, 90.00 90.00 120.00°
Fractional coordinates of all 6 atoms:
Pr 0.0000 0.0000 0.0000
Sc 0.0000 0.0000 0.4984
Cu 0.3333 0.6667 0.3352
Cu 0.6667 0.3333 0.7712
Sn 0.3333 0.6667 0.7112
Sn 0.6667 0.3333 0.2541

Principal peaks in the range 2θ from 5° to 70°, by angle:
2θ 25.88, rel. 44.3, hkl 1 0 1
2θ 33.60, rel. 100.0, hkl 0 1 2
2θ 40.00, rel. 79.7, hkl 1 1 0
2θ 43.82, rel. 15.2, hkl 0 1 3
2θ 47.39, rel. 6.6, hkl 1 1 2
2θ 48.26, rel. 8.7, hkl 0 2 1
2θ 49.94, rel. 6.9, hkl 0 0 4
2θ 53.20, rel. 26.6, hkl 2 0 2
2θ 55.55, rel. 15.9, hkl 1 1 3
2θ 64.42, rel. 7.8, hkl 2 1 1
2θ 65.81, rel. 18.0, hkl 1 1 4
2θ 68.59, rel. 31.8, hkl 1 2 2